Structure and simulated PXRD pattern of V12Sn (DFT lattice parameters and positions (GGA-PBE); Cu Kα, 1.54184 Å).
Kinematic intensities with the Lorentz-polarization factor, no thermal factor.

Most intense lines, 2θ = 15–90°, sorted by position:
5.075 Å, I 17
3.061 Å, I 100
2.930 Å, I 29
2.329 Å, I 9
2.072 Å, I 32
1.954 Å, I 26
1.716 Å, I 34
1.692 Å, I 45
1.322 Å, I 21
1.196 Å, I 21
1.114 Å, I 13
1.108 Å, I 8

Cell and atoms:
Lattice parameters (Å, degrees): 7.178 7.178 7.178 60.00 60.00 60.00
Fractional positions:
V (0.000, 0.000, 0.333)
V (0.000, 0.000, 0.667)
V (0.000, 0.333, 0.000)
V (0.000, 0.333, 0.667)
V (0.000, 0.667, 0.000)
V (0.000, 0.667, 0.333)
V (0.333, 0.000, 0.000)
V (0.333, 0.000, 0.667)
V (0.333, 0.667, 0.000)
V (0.667, 0.000, 0.000)
V (0.667, 0.000, 0.333)
V (0.667, 0.333, 0.000)
Sn (0.500, 0.500, 0.500)